The following is a calculated X-ray diffraction stick pattern of RbYSn. It was derived from a structure optimized by DFT (GGA-PBE), using λ = 1.5418 Å (Cu Kα).
Lines closer than 0.1° are merged.

Structural model:
Lattice parameters (Å, degrees): 3.8317 4.6507 14.1003 90.00 90.61 90.00
Space group P2_1 (No. 4)
Unique sites:
Rb 0.2353 0.0000 0.1574 (multiplicity 2)
Y 0.2469 0.9985 0.4212 (multiplicity 2)
Sn 0.2560 0.9986 0.6501 (multiplicity 2)

The 6 most intense peaks (2θ = 10–80°), sorted by position:
hkl 0 1 2, 22.91°, I = 30
hkl 0 0 4, 25.27°, I = 32
hkl 1 1 0, 30.22°, I = 100
hkl 0 1 4, 31.86°, I = 45
hkl 0 2 0, 38.72°, I = 25
hkl 1 1 4, 39.95°, I = 22


The following is a calculated X-ray diffraction stick pattern of RbYSn. It was derived from a structure optimized by DFT (GGA-PBE), using λ = 1.5418 Å (Cu Kα).
Lines closer than 0.1° are merged.

Structural model:
Lattice parameters (Å, degrees): 5.4583 5.4583 8.4427 90.00 90.00 90.00
Space group P4/nmm (No. 129, origin choice 2)
Unique sites:
Rb 0.2500 0.2500 0.1298 (multiplicity 2)
Y 0.2500 0.7500 0.5000 (multiplicity 2)
Sn 0.2500 0.2500 0.6773 (multiplicity 2)

The 6 most intense peaks (2θ = 10–80°), sorted by position:
hkl 0 0 1, 10.48°, I = 47
hkl 1 1 1, 25.37°, I = 33
hkl 1 0 2, 26.70°, I = 100
hkl 1 1 2, 31.41°, I = 57
hkl 2 0 0, 32.82°, I = 78
hkl 2 1 2, 42.79°, I = 56


The following is a calculated X-ray diffraction stick pattern of RbZnSn3. It was derived from a structure optimized by DFT (GGA-PBE), using λ = 1.5418 Å (Cu Kα).
Lines closer than 0.1° are merged.

Structural model:
Lattice parameters (Å, degrees): 7.1887 11.7762 7.0885 90.00 90.00 90.00
Space group Cmcm (No. 63)
Unique sites:
Rb 0.0000 0.2419 0.2500 (multiplicity 4)
Zn 0.0000 0.3720 0.7500 (multiplicity 4)
Sn 0.0000 0.1375 0.7500 (multiplicity 4)
Sn 0.2332 0.5000 0.0000 (multiplicity 8)

The 6 most intense peaks (2θ = 10–80°), sorted by position:
hkl 1 3 1, 28.81°, I = 51
hkl 2 2 0, 29.11°, I = 80
hkl 0 2 2, 29.41°, I = 76
hkl 2 0 2, 35.57°, I = 100
hkl 2 4 0, 39.57°, I = 33
hkl 0 4 2, 39.80°, I = 33


The following is a calculated X-ray diffraction stick pattern of Rb3Zn2Sn5. It was derived from a structure optimized by DFT (GGA-PBE), using λ = 1.5418 Å (Cu Kα).
Lines closer than 0.1° are merged.

Structural model:
Lattice parameters (Å, degrees): 11.2317 15.7569 7.6168 90.00 90.00 90.00
Space group Ibam (No. 72)
Unique sites:
Rb 0.0000 0.0000 0.2500 (multiplicity 4)
Rb 0.2342 0.3703 0.0000 (multiplicity 8)
Zn 0.1372 0.1644 0.0000 (multiplicity 8)
Sn 0.0000 0.2428 0.2500 (multiplicity 8)
Sn 0.0000 0.5000 0.2500 (multiplicity 4)
Sn 0.1276 0.3733 0.5000 (multiplicity 8)

The 6 most intense peaks (2θ = 10–80°), sorted by position:
hkl 2 4 0, 27.66°, I = 71
hkl 2 0 2, 28.31°, I = 70
hkl 3 2 1, 28.89°, I = 49
hkl 0 4 2, 32.71°, I = 100
hkl 4 4 0, 39.41°, I = 25
hkl 4 0 2, 39.89°, I = 30


The following is a calculated X-ray diffraction stick pattern of Rb2Zn3Sn5. It was derived from a structure optimized by DFT (GGA-PBE), using λ = 1.5418 Å (Cu Kα).
Lines closer than 0.1° are merged.

Structural model:
Lattice parameters (Å, degrees): 11.8666 13.8315 6.9263 90.00 90.00 90.00
Space group Ibam (No. 72)
Unique sites:
Rb 0.2483 0.1270 0.0000 (multiplicity 8)
Zn 0.0000 0.0000 0.2500 (multiplicity 4)
Zn 0.1324 0.3784 0.0000 (multiplicity 8)
Sn 0.0000 0.2544 0.2500 (multiplicity 8)
Sn 0.0000 0.5000 0.2500 (multiplicity 4)
Sn 0.1351 0.1168 0.5000 (multiplicity 8)

The 6 most intense peaks (2θ = 10–80°), sorted by position:
hkl 3 2 1, 29.03°, I = 40
hkl 2 0 2, 29.89°, I = 100
hkl 0 4 2, 36.73°, I = 66
hkl 4 0 2, 40.03°, I = 44
hkl 5 2 1, 42.32°, I = 24
hkl 2 4 4, 61.97°, I = 25


The following is a calculated X-ray diffraction stick pattern of RbSr3. It was derived from a structure optimized by DFT (GGA-PBE), using λ = 1.5418 Å (Cu Kα).
Lines closer than 0.1° are merged.

Structural model:
Lattice parameters (Å, degrees): 4.3472 4.3472 14.7685 90.00 90.00 120.00
Space group P-6m2 (No. 187)
Unique sites:
Rb 0.0000 0.0000 0.0000 (multiplicity 1)
Sr 0.0000 0.0000 0.5000 (multiplicity 1)
Sr 0.3333 0.6667 0.2669 (multiplicity 2)

The 6 most intense peaks (2θ = 10–80°), sorted by position:
hkl 1 0 0, 23.63°, I = 23
hkl 0 0 4, 24.10°, I = 26
hkl 1 0 2, 26.58°, I = 100
hkl 1 1 0, 41.55°, I = 20
hkl 1 0 6, 43.95°, I = 21
hkl 1 1 4, 48.61°, I = 23


The following is a calculated X-ray diffraction stick pattern of Rb6Sr. It was derived from a structure optimized by DFT (GGA-PBE), using λ = 1.5418 Å (Cu Kα).
Lines closer than 0.1° are merged.

Structural model:
Lattice parameters (Å, degrees): 11.7499 11.7499 11.7499 90.00 90.00 90.00
Space group Im-3m (No. 229)
Unique sites:
Rb 0.0000 0.2500 0.5000 (multiplicity 12)
Sr 0.0000 0.0000 0.0000 (multiplicity 2)

The 6 most intense peaks (2θ = 10–80°), sorted by position:
hkl 2 0 0, 15.08°, I = 40
hkl 2 1 1, 18.50°, I = 100
hkl 2 2 2, 26.27°, I = 39
hkl 3 2 1, 28.42°, I = 70
hkl 4 0 0, 30.43°, I = 40
hkl 4 4 0, 43.57°, I = 29


The following is a calculated X-ray diffraction stick pattern of RbSr4. It was derived from a structure optimized by DFT (GGA-PBE), using λ = 1.5418 Å (Cu Kα).
Lines closer than 0.1° are merged.

Structural model:
Lattice parameters (Å, degrees): 6.8169 6.8169 6.8169 90.00 90.00 90.00
Space group Pm-3m (No. 221)
Unique sites:
Rb 0.0000 0.0000 0.0000 (multiplicity 1)
Sr 0.0000 0.0000 0.5000 (multiplicity 3)
Sr 0.5000 0.5000 0.5000 (multiplicity 1)

The 6 most intense peaks (2θ = 10–80°), sorted by position:
hkl 1 1 1, 22.59°, I = 70
hkl 2 0 0, 26.14°, I = 100
hkl 2 2 0, 37.31°, I = 78
hkl 3 1 1, 44.06°, I = 36
hkl 2 2 2, 46.13°, I = 28
hkl 4 2 0, 60.76°, I = 37


The following is a calculated X-ray diffraction stick pattern of Rb2SrTc2. It was derived from a structure optimized by DFT (GGA-PBE), using λ = 1.5418 Å (Cu Kα).
Lines closer than 0.1° are merged.

Structural model:
Lattice parameters (Å, degrees): 10.2845 10.2845 3.3902 90.00 90.00 90.00
Space group P4/mbm (No. 127)
Unique sites:
Rb 0.2041 0.2959 0.0000 (multiplicity 4)
Sr 0.0000 0.0000 0.5000 (multiplicity 2)
Tc 0.0716 0.5716 0.5000 (multiplicity 4)

The 6 most intense peaks (2θ = 10–80°), sorted by position:
hkl 1 1 0, 12.17°, I = 31
hkl 2 2 0, 24.48°, I = 62
hkl 3 2 0, 31.36°, I = 37
hkl 2 0 1, 31.61°, I = 100
hkl 2 1 1, 32.82°, I = 36
hkl 4 3 1, 52.00°, I = 32


The following is a calculated X-ray diffraction stick pattern of RbSrTl6. It was derived from a structure optimized by DFT (GGA-PBE), using λ = 1.5418 Å (Cu Kα).
Lines closer than 0.1° are merged.

Structural model:
Lattice parameters (Å, degrees): 5.5203 7.8845 12.3181 90.00 90.00 90.00
Space group Amm2 (No. 38)
Unique sites:
Rb 0.0000 0.0000 0.0000 (multiplicity 2)
Sr 0.5000 0.0000 0.7140 (multiplicity 2)
Tl 0.0000 0.0000 0.5329 (multiplicity 2)
Tl 0.0000 0.2094 0.2690 (multiplicity 4)
Tl 0.5000 0.0000 0.1941 (multiplicity 2)
Tl 0.5000 0.2099 0.4494 (multiplicity 4)

The 6 most intense peaks (2θ = 10–80°), sorted by position:
hkl 0 1 1, 13.33°, I = 18
hkl 1 2 2, 31.44°, I = 100
hkl 2 0 0, 32.44°, I = 33
hkl 1 0 4, 33.32°, I = 36
hkl 2 0 4, 44.07°, I = 18
hkl 3 2 2, 57.24°, I = 19


The following is a calculated X-ray diffraction stick pattern of Rb2SrTl9. It was derived from a structure optimized by DFT (GGA-PBE), using λ = 1.5418 Å (Cu Kα).
Lines closer than 0.1° are merged.

Structural model:
Lattice parameters (Å, degrees): 6.6287 6.6287 33.4994 90.00 90.00 120.00
Space group R-3m (No. 166, hexagonal axes)
Unique sites:
Rb 0.0000 0.0000 0.1420 (multiplicity 6)
Sr 0.0000 0.0000 0.0000 (multiplicity 3)
Tl 0.0000 0.0000 0.3346 (multiplicity 6)
Tl 0.0000 0.0000 0.5000 (multiplicity 3)
Tl 0.0028 0.5014 0.9186 (multiplicity 18)

The 6 most intense peaks (2θ = 10–80°), sorted by position:
hkl 1 0 1, 15.66°, I = 54
hkl 1 1 6, 31.39°, I = 100
hkl 0 0 12, 32.06°, I = 37
hkl 2 0 5, 33.98°, I = 52
hkl 0 2 7, 36.50°, I = 37
hkl 2 2 0, 55.43°, I = 36


The following is a calculated X-ray diffraction stick pattern of Rb3Tb. It was derived from a structure optimized by DFT (GGA-PBE), using λ = 1.5418 Å (Cu Kα).
Lines closer than 0.1° are merged.

Structural model:
Lattice parameters (Å, degrees): 6.2989 6.2989 13.1009 90.00 90.00 90.00
Space group I4/mmm (No. 139)
Unique sites:
Rb 0.0000 0.0000 0.0000 (multiplicity 2)
Rb 0.0000 0.5000 0.2500 (multiplicity 4)
Tb 0.0000 0.0000 0.5000 (multiplicity 2)

The 6 most intense peaks (2θ = 10–80°), sorted by position:
hkl 1 1 2, 24.16°, I = 100
hkl 0 0 4, 27.23°, I = 19
hkl 2 0 0, 28.34°, I = 33
hkl 2 0 4, 39.70°, I = 27
hkl 1 1 6, 46.31°, I = 17
hkl 3 1 2, 47.72°, I = 31


The following is a calculated X-ray diffraction stick pattern of RbTb3Te4. It was derived from a structure optimized by DFT (GGA-PBE), using λ = 1.5418 Å (Cu Kα).
Lines closer than 0.1° are merged.

Structural model:
Lattice parameters (Å, degrees): 4.4530 4.4530 31.2870 90.00 90.00 120.00
Space group P6_3/mmc (No. 194)
Unique sites:
Rb 0.3333 0.6667 0.2500 (multiplicity 2)
Tb 0.0000 0.0000 0.0000 (multiplicity 2)
Tb 0.3333 0.6667 0.6121 (multiplicity 4)
Te 0.0000 0.0000 0.1673 (multiplicity 4)
Te 0.3333 0.6667 0.0558 (multiplicity 4)

The 6 most intense peaks (2θ = 10–80°), sorted by position:
hkl 1 0 5, 27.16°, I = 51
hkl 1 0 6, 28.79°, I = 100
hkl 1 0 7, 30.62°, I = 27
hkl 1 0 11, 39.36°, I = 30
hkl 1 1 0, 40.52°, I = 64
hkl 1 0 12, 41.82°, I = 28


The following is a calculated X-ray diffraction stick pattern of Rb4TbU3Te8. It was derived from a structure optimized by DFT (GGA-PBE), using λ = 1.5418 Å (Cu Kα).
Lines closer than 0.1° are merged.

Structural model:
Lattice parameters (Å, degrees): 9.0796 9.0796 25.8173 90.00 90.00 120.00
Space group R-3m (No. 166, hexagonal axes)
Unique sites:
Rb 0.0000 0.0000 0.0000 (multiplicity 3)
Rb 0.0000 0.5000 0.0000 (multiplicity 9)
Tb 0.0000 0.0000 0.5000 (multiplicity 3)
U 0.0000 0.5000 0.5000 (multiplicity 9)
Te 0.0000 0.0000 0.2341 (multiplicity 6)
Te 0.0021 0.5011 0.2340 (multiplicity 18)

The 6 most intense peaks (2θ = 10–80°), sorted by position:
hkl 0 0 3, 10.28°, I = 39
hkl 0 2 4, 26.55°, I = 100
hkl 2 0 8, 36.00°, I = 36
hkl 2 2 0, 39.71°, I = 37
hkl 4 0 4, 48.40°, I = 20
hkl 2 4 4, 64.33°, I = 17